The following is a simulated powder diffractogram of Li3ZnCu. It was derived from a GGA-PBE-relaxed structure, using Cu Kα (weighted mean of Kα1 and Kα2).
Lines closer than 0.1° are merged.

Cell and atoms:
Cell lengths 5.173, 4.343, 6.654 Å; angles 90.00, 103.53, 90.00 degrees
Sites, in units of the cell vectors:
Li  0.055  0.000  0.344
Li  0.243  0.000  0.755
Li  0.439  0.001  0.152
Li  0.561  0.501  0.848
Li  0.757  0.500  0.245
Li  0.945  0.500  0.656
Zn  0.361  0.500  0.439
Zn  0.639  0.000  0.561
Cu  0.131  0.503  0.053
Cu  0.869  0.003  0.947

Most intense lines, 10 to 80 degrees two-theta, most intense first:
2θ (°), I_rel, h k l
19.66, 100, 1 0 -1
27.13, 64, 1 1 0
40.99, 51, 2 1 -1
42.08, 49, 1 1 2
27.58, 30, 0 0 2
41.59, 26, 0 2 0
41.52, 25, 1 0 -3
60.21, 23, 1 2 -3